Calculated powder X-ray diffraction pattern of NiC4S4N2O12 for Cu Kα (λ = 1.5418 Å), from the PBE+U geometry in the Materials Project.

Crystal structure
```
data_NiC4S4N2O12
_space_group_name_H-M_alt 'P -1'
_space_group_IT_number 2
_space_group_name_Hall '-P 1'
_cell_length_a 7.574
_cell_length_b 8.053
_cell_length_c 9.909
_cell_angle_alpha 66.77
_cell_angle_beta 85.22
_cell_angle_gamma 67.52
loop_
_atom_site_label
_atom_site_type_symbol
_atom_site_fract_x
_atom_site_fract_y
_atom_site_fract_z
Ni1 Ni 0.000 0.000 0.000
C1 C 0.286 0.143 0.401
C2 C 0.358 0.373 0.606
S1 S 0.221 0.581 0.817
S2 S 0.327 0.165 0.060
N1 N 0.293 0.372 0.944
O1 O 0.073 0.774 0.188
O2 O 0.080 0.093 0.790
O3 O 0.128 0.185 0.425
O4 O 0.156 0.108 0.079
O5 O 0.374 0.658 0.772
O6 O 0.493 0.729 0.335
```

Peak list (10 most intense, 15° ≤ 2θ ≤ 90°, sorted by position)
h k l, d/Å, two_theta, intensity
1 0 1, 5.330, 16.63, 22.6
1 1 -1, 4.552, 19.50, 17.0
-1 1 1, 4.269, 20.81, 33.2
1 -1 0, 4.155, 21.38, 33.8
-1 1 2, 3.626, 24.55, 100.0
0 1 -2, 3.240, 27.53, 29.1
1 2 3, 2.953, 30.27, 14.1
0 2 3, 2.903, 30.80, 16.5
-1 1 3, 2.864, 31.23, 12.4
1 -2 0, 2.692, 33.29, 16.5